# MgCu2O4
Theoretical XRD peak list, copper Kα. Input: a cell relaxed with GGA-PBE.
Kinematic intensities with the Lorentz-polarization factor, no thermal factor.

Main lines, by angle (2θ = 10–80°):
- hkl 0 1 1, 2θ 18.3, I = 25.5
- hkl 0 0 3, 2θ 18.4, I = 30.8
- hkl 0 1 4, 2θ 30.2, I = 19.0
- hkl 2 0 1, 2θ 35.5, I = 100.0
- hkl 1 0 5, 2θ 35.7, I = 26.1
- hkl 0 2 2, 2θ 37.1, I = 14.9
- hkl 2 0 4, 2θ 43.2, I = 45.8
- hkl 2 1 5, 2θ 57.1, I = 17.5
- hkl 2 2 0, 2θ 62.5, I = 31.2
- hkl 0 2 8, 2θ 62.9, I = 30.0

Structure:
```
data_MgCu2O4
_cell_length_a 5.9441
_cell_length_b 5.9441
_cell_length_c 14.4324
_cell_angle_alpha 90.00
_cell_angle_beta 90.00
_cell_angle_gamma 120.00
_symmetry_space_group_name_H-M 'P 3 m 1'
_symmetry_Int_Tables_number 156
_symmetry_space_group_name_Hall 'P 3 -2"'
loop_
_atom_site_label
_atom_site_type_symbol
_atom_site_fract_x
_atom_site_fract_y
_atom_site_fract_z
Mg1 Mg 0.0000 0.0000 0.0000
Mg2 Mg 0.0000 0.0000 0.2423
Mg3 Mg 0.0000 0.0000 0.6217
Mg4 Mg 0.3333 0.6667 0.5741
Mg5 Mg 0.6667 0.3333 0.2881
Mg6 Mg 0.6667 0.3333 0.9101
Cu1 Cu 0.1671 0.3341 0.7888
Cu2 Cu 0.3314 0.1657 0.4559
Cu3 Cu 0.3333 0.6667 0.3360
Cu4 Cu 0.3333 0.6667 0.9569
Cu5 Cu 0.5006 0.0012 0.1232
Cu6 Cu 0.6667 0.3333 0.6670
O1 O 0.0000 0.0000 0.3791
O2 O 0.0000 0.0000 0.8616
O3 O 0.0340 0.5170 0.8693
O4 O 0.1517 0.3033 0.5308
O5 O 0.1833 0.3665 0.0455
O6 O 0.3127 0.1563 0.7132
O7 O 0.3333 0.6667 0.2032
O8 O 0.3333 0.6667 0.7147
O9 O 0.3609 0.1804 0.1975
O10 O 0.5131 0.0261 0.3826
O11 O 0.6667 0.3333 0.0470
O12 O 0.6667 0.3333 0.5352
```



# MgCu2O4
Theoretical XRD peak list, copper Kα. Input: a cell relaxed with GGA-PBE.
Kinematic intensities with the Lorentz-polarization factor, no thermal factor.

Main lines, by angle (2θ = 10–80°):
- hkl 2 0 -1, 2θ 18.4, I = 18.1
- hkl 2 0 -4, 2θ 30.2, I = 40.5
- hkl 3 1 0, 2θ 30.3, I = 24.4
- hkl 0 2 3, 2θ 35.4, I = 100.0
- hkl 3 1 -3, 2θ 35.5, I = 19.7
- hkl 2 0 5, 2θ 35.7, I = 57.2
- hkl 2 2 -4, 2θ 43.0, I = 19.0
- hkl 4 2 -5, 2θ 57.0, I = 26.0
- hkl 4 0 -8, 2θ 62.7, I = 38.1
- hkl 6 2 0, 2θ 62.9, I = 24.8

Structure:
```
data_MgCu2O4
_cell_length_a 10.206
_cell_length_b 5.959
_cell_length_c 14.506
_cell_angle_alpha 90.00
_cell_angle_beta 90.30
_cell_angle_gamma 90.00
_symmetry_space_group_name_H-M 'C 1 m 1'
_symmetry_Int_Tables_number 8
_symmetry_space_group_name_Hall 'C -2y'
loop_
_atom_site_label
_atom_site_type_symbol
_atom_site_fract_x
_atom_site_fract_y
_atom_site_fract_z
Mg1 Mg 0.000 0.000 0.000
Mg2 Mg 0.001 0.500 0.500
Mg3 Mg 0.167 0.000 0.833
Mg4 Mg 0.323 0.000 0.292
Mg5 Mg 0.332 0.500 0.166
Mg6 Mg 0.334 0.000 0.666
Cu1 Cu 0.004 0.000 0.375
Cu2 Cu 0.083 0.251 0.165
Cu3 Cu 0.160 0.500 0.953
Cu4 Cu 0.167 0.500 0.332
Cu5 Cu 0.174 0.500 0.711
Cu6 Cu 0.251 0.249 0.501
Cu7 Cu 0.340 0.000 0.042
Cu8 Cu 0.417 0.250 0.833
Cu9 Cu 0.493 0.500 0.625
O1 O 0.008 0.000 0.241
O2 O 0.010 0.500 0.245
O3 O 0.071 0.235 0.910
O4 O 0.099 0.271 0.416
O5 O 0.161 0.500 0.086
O6 O 0.165 0.000 0.090
O7 O 0.168 0.000 0.580
O8 O 0.176 0.500 0.574
O9 O 0.235 0.274 0.247
O10 O 0.263 0.236 0.756
O11 O 0.326 0.000 0.430
O12 O 0.327 0.500 0.415
O13 O 0.339 0.000 0.910
O14 O 0.339 0.500 0.911
O15 O 0.407 0.239 0.577
O16 O 0.428 0.262 0.090
O17 O 0.494 0.500 0.756
O18 O 0.495 0.000 0.755
```



# MgCu2O4
Theoretical XRD peak list, copper Kα. Input: a cell relaxed with GGA-PBE.
Kinematic intensities with the Lorentz-polarization factor, no thermal factor.

Main lines, by angle (2θ = 10–80°):
- hkl 2 0 -2, 2θ 18.4, I = 46.0
- hkl 2 0 -6, 2θ 30.2, I = 65.5
- hkl 3 1 -1, 2θ 30.3, I = 48.1
- hkl 0 2 4, 2θ 35.4, I = 93.8
- hkl 2 2 -2, 2θ 35.4, I = 100.0
- hkl 2 0 6, 2θ 35.6, I = 83.2
- hkl 3 1 3, 2θ 35.7, I = 35.7
- hkl 2 2 -6, 2θ 43.0, I = 43.2
- hkl 2 2 10, 2θ 62.7, I = 75.5
- hkl 6 2 -2, 2θ 63.0, I = 48.5

Structure:
```
data_MgCu2O4
_cell_length_a 10.184
_cell_length_b 5.963
_cell_length_c 19.678
_cell_angle_alpha 90.00
_cell_angle_beta 100.22
_cell_angle_gamma 90.00
_symmetry_space_group_name_H-M 'C 1 m 1'
_symmetry_Int_Tables_number 8
_symmetry_space_group_name_Hall 'C -2y'
loop_
_atom_site_label
_atom_site_type_symbol
_atom_site_fract_x
_atom_site_fract_y
_atom_site_fract_z
Mg1 Mg 0.000 0.000 0.000
Mg2 Mg 0.001 0.500 0.500
Mg3 Mg 0.125 0.000 0.875
Mg4 Mg 0.230 0.500 0.657
Mg5 Mg 0.249 0.500 0.250
Mg6 Mg 0.252 0.000 0.750
Mg7 Mg 0.375 0.500 0.125
Mg8 Mg 0.479 0.500 0.403
Cu1 Cu 0.001 0.252 0.751
Cu2 Cu 0.023 0.500 0.091
Cu3 Cu 0.027 0.000 0.595
Cu4 Cu 0.125 0.500 0.376
Cu5 Cu 0.226 0.000 0.156
Cu6 Cu 0.250 0.250 0.000
Cu7 Cu 0.250 0.251 0.500
Cu8 Cu 0.273 0.500 0.844
Cu9 Cu 0.277 0.000 0.344
Cu10 Cu 0.376 0.000 0.626
Cu11 Cu 0.477 0.000 0.910
Cu12 Cu 0.499 0.250 0.249
O1 O 0.055 0.500 0.194
O2 O 0.055 0.500 0.692
O3 O 0.057 0.000 0.694
O4 O 0.062 0.000 0.190
O5 O 0.077 0.235 0.942
O6 O 0.077 0.274 0.440
O7 O 0.171 0.271 0.313
O8 O 0.174 0.237 0.807
O9 O 0.190 0.500 0.059
O10 O 0.191 0.000 0.562
O11 O 0.192 0.000 0.058
O12 O 0.192 0.500 0.554
O13 O 0.304 0.000 0.447
O14 O 0.306 0.500 0.438
O15 O 0.308 0.500 0.942
O16 O 0.309 0.000 0.942
O17 O 0.325 0.261 0.192
O18 O 0.330 0.224 0.690
O19 O 0.421 0.230 0.562
O20 O 0.423 0.264 0.058
O21 O 0.438 0.500 0.807
O22 O 0.441 0.500 0.301
O23 O 0.442 0.000 0.810
O24 O 0.444 0.000 0.314
```



# MgCu2O4
Theoretical XRD peak list, copper Kα. Input: a cell relaxed with GGA-PBE.
Kinematic intensities with the Lorentz-polarization factor, no thermal factor.

Main lines, by angle (2θ = 10–80°):
- hkl 0 0 2, 2θ 19.0, I = 47.8
- hkl 1 1 0, 2θ 31.8, I = 38.7
- hkl 0 2 3, 2θ 34.3, I = 100.0
- hkl 0 4 0, 2θ 37.3, I = 42.3
- hkl 1 3 0, 2θ 41.6, I = 42.8
- hkl 1 3 1, 2θ 42.8, I = 40.5
- hkl 1 3 2, 2θ 46.1, I = 51.6
- hkl 0 0 6, 2θ 59.5, I = 36.0
- hkl 1 5 3, 2θ 65.1, I = 25.3
- hkl 0 6 3, 2θ 65.3, I = 23.2

Structure:
```
data_MgCu2O4
_cell_length_a 2.942
_cell_length_b 9.651
_cell_length_c 9.321
_cell_angle_alpha 90.00
_cell_angle_beta 90.00
_cell_angle_gamma 90.00
_symmetry_space_group_name_H-M 'C m c m'
_symmetry_Int_Tables_number 63
_symmetry_space_group_name_Hall '-C 2c 2'
loop_
_atom_site_label
_atom_site_type_symbol
_atom_site_fract_x
_atom_site_fract_y
_atom_site_fract_z
Mg1 Mg 0.000 0.108 0.250
Cu1 Cu 0.000 0.367 0.071
O1 O 0.000 0.000 0.000
O2 O 0.000 0.280 0.614
O3 O 0.000 0.459 0.250
```



Which formula does entry 3 have? MgCu2O4



What is the formula in the second record? MgCu2O4